For Sm3Dy5Y4, a DFT-relaxed cell (GGA-PBE, Alexandria) gives the calculated X-ray powder pattern in this record (Cu Kα X-rays).

The 10 most intense peaks (2θ = 5–70°), low angle first:
two_theta  I_rel
10.12  2.2
30.65  100.0
35.54  50.6
51.11  23.8
51.20  11.9
60.74  14.1
60.84  24.6
60.92  3.5
63.73  3.1
63.86  9.1

Atomic structure:
```
data_Sm3Dy5Y4
_space_group_name_H-M_alt 'P -1'
_space_group_IT_number 2
_cell_length_a 6.1899
_cell_length_b 7.1452
_cell_length_c 8.7449
_cell_angle_alpha 90.01
_cell_angle_beta 90.12
_cell_angle_gamma 90.15
loop_
_space_group_symop_operation_xyz
'x,y,z'
'-x,-y,-z'
loop_
_atom_site_label
_atom_site_type_symbol
_atom_site_fract_x
_atom_site_fract_y
_atom_site_fract_z
Sm1 Sm 0.0000 0.0000 0.0000
Sm2 Sm 0.1672 0.7508 0.6673
Dy1 Dy 0.0000 0.5000 0.0000
Dy2 Dy 0.3344 0.0003 0.3329
Dy3 Dy 0.5003 0.2500 0.0005
Y1 Y 0.1673 0.2500 0.6668
Y2 Y 0.3326 0.4996 0.3324
```